Starting from a cell relaxed with PBE+U, the XRD peak list of K2NiH8C2O10 was computed for CuKα.

Main lines, sorted by position (10 to 90 degrees two-theta):
2θ 14.09, intensity 76.8, (1 0 0)
2θ 16.20, intensity 81.0, (1 0 -2)
2θ 19.19, intensity 54.9, (1 1 -1)
2θ 23.65, intensity 45.5, (1 1 1)
2θ 27.83, intensity 47.5, (0 1 3)
2θ 29.55, intensity 63.4, (0 2 1)
2θ 29.74, intensity 100.0, (2 1 -1)
2θ 35.14, intensity 49.6, (0 1 4)
2θ 35.80, intensity 45.5, (2 1 -4)
2θ 43.86, intensity 51.5, (2 2 1)

Cell and atoms:
```
46
Lattice="6.923 0.000 0.000 0.000 6.279 0.000 -5.171 0.000 11.183" Properties=species:S:1:pos:R:3 pbc="T T T"
K -0.025 0.988 3.554
K -2.611 2.151 9.146
K 4.363 4.128 2.037
K 1.778 5.291 7.628
Ni 0.000 0.000 0.000
Ni -2.585 3.139 5.591
H -0.544 4.156 4.139
H -3.129 5.262 9.730
H -3.656 4.388 11.031
H -1.071 5.030 5.439
H -0.955 1.081 6.477
H 1.630 2.058 0.885
H 2.376 0.709 1.229
H -0.209 2.430 6.820
H 1.962 3.848 4.362
H -0.624 5.570 9.954
H 0.122 4.221 10.297
H 2.708 5.198 4.706
H 2.823 1.249 5.743
H 5.409 1.890 0.152
H 4.882 1.016 1.452
H 2.296 2.123 7.043
C 0.832 4.139 2.058
C -1.754 5.279 7.649
C 3.506 0.999 3.534
C 0.921 2.140 9.125
O -1.366 4.526 4.600
O -3.951 4.892 10.191
O -2.522 4.284 7.328
O 0.064 5.134 1.736
O 1.725 1.104 0.581
O -0.860 2.036 6.172
O 0.703 3.585 3.227
O -1.882 5.833 8.819
O 1.726 3.681 1.223
O -0.859 5.737 6.814
O 2.612 0.542 4.368
O 0.026 2.598 9.960
O 3.634 0.446 2.364
O 1.049 2.693 7.955
O 2.612 4.243 5.010
O 0.027 5.175 10.602
O 1.689 1.145 9.446
O 4.274 1.995 3.855
O 5.704 1.387 0.992
O 3.118 1.753 6.583
```